# BaNdMnSnO6
Theoretical powder diffractogram, CuKα. Input: a structure optimized by DFT (PBE+U).
No peak broadening, texture or thermal motion is included.

Structural model:
```
data_BaNdMnSnO6
_cell_length_a 8.139
_cell_length_b 8.139
_cell_length_c 8.139
_cell_angle_alpha 90.00
_cell_angle_beta 90.00
_cell_angle_gamma 90.00
_space_group_name_H-M_alt 'F -4 3 m'
_space_group_IT_number 216
_space_group_name_Hall 'F -4 2 3'
loop_
_atom_site_label
_atom_site_fract_x
_atom_site_fract_y
_atom_site_fract_z
Ba1 0.000 0.000 0.000
Nd1 0.000 0.000 0.500
Mn1 0.250 0.250 0.750
Sn1 0.250 0.250 0.250
O1 0.003 0.250 0.750
```

Largest 10 diffraction maxima, most intense first, 2θ from 10° to 90°:
(hkl)	2θ (°)	Rel. int.
2 2 0	31.08	100
4 2 2	55.30	40
4 0 0	44.53	31
4 4 0	64.80	19
6 2 0	73.61	18
2 2 2	38.31	8
4 4 4	82.03	6
1 1 1	18.89	5
3 1 1	36.62	3
2 0 0	21.84	3

# BaMn2O8
Theoretical powder diffractogram, CuKα. Input: a structure optimized by DFT (PBE+U).
No peak broadening, texture or thermal motion is included.

Structural model:
```
data_BaMn2O8
_cell_length_a 8.547
_cell_length_b 11.667
_cell_length_c 16.034
_cell_angle_alpha 90.00
_cell_angle_beta 90.00
_cell_angle_gamma 90.00
_space_group_name_H-M_alt 'F d d d'
_space_group_IT_number 70
loop_
_space_group_symop_operation_xyz
'x,y,z'
'-x,-y,-z'
'-x+1/4,-y+1/4,z'
'x+1/4,y+1/4,-z'
'x,-y+1/4,-z+1/4'
'-x,y+1/4,z+1/4'
'-x+1/4,y,-z+1/4'
'x+1/4,-y,z+1/4'
'x,y+1/2,z+1/2'
'-x,-y+1/2,-z+1/2'
'-x+1/4,-y+3/4,z+1/2'
'x+1/4,y+3/4,-z+1/2'
'x,-y+3/4,-z+3/4'
'-x,y+3/4,z+3/4'
'-x+1/4,y+1/2,-z+3/4'
'x+1/4,-y+1/2,z+3/4'
'x+1/2,y,z+1/2'
'-x+1/2,-y,-z+1/2'
'-x+3/4,-y+1/4,z+1/2'
'x+3/4,y+1/4,-z+1/2'
'x+1/2,-y+1/4,-z+3/4'
'-x+1/2,y+1/4,z+3/4'
'-x+3/4,y,-z+3/4'
'x+3/4,-y,z+3/4'
'x+1/2,y+1/2,z'
'-x+1/2,-y+1/2,-z'
'-x+3/4,-y+3/4,z'
'x+3/4,y+3/4,-z'
'x+1/2,-y+3/4,-z+1/4'
'-x+1/2,y+3/4,z+1/4'
'-x+3/4,y+1/2,-z+1/4'
'x+3/4,-y+1/2,z+1/4'
loop_
_atom_site_label
_atom_site_fract_x
_atom_site_fract_y
_atom_site_fract_z
Ba1 0.125 0.125 0.125
Mn1 0.125 0.125 0.353
O1 0.027 0.357 0.207
O2 0.108 0.012 0.410
```

Largest 10 diffraction maxima, most intense first, 2θ from 10° to 90°:
(hkl)	2θ (°)	Rel. int.
1 1 1	13.98	100
2 2 0	25.82	78
2 2 4	34.31	54
0 0 4	22.18	41
0 4 0	30.70	36
1 3 5	37.86	26
3 1 3	36.56	14
4 0 4	48.26	13
1 5 1	40.47	12
2 6 4	56.87	10

# Ba2MnO3
Theoretical powder diffractogram, CuKα. Input: a structure optimized by DFT (PBE+U).
No peak broadening, texture or thermal motion is included.

Structural model:
```
data_Ba2MnO3
_cell_length_a 6.059
_cell_length_b 11.715
_cell_length_c 12.828
_cell_angle_alpha 90.00
_cell_angle_beta 93.42
_cell_angle_gamma 90.00
_space_group_name_H-M_alt 'C 1 2/c 1'
_space_group_IT_number 15
loop_
_space_group_symop_operation_xyz
'x,y,z'
'-x,-y,-z'
'-x,y,-z+1/2'
'x,-y,z+1/2'
'x+1/2,y+1/2,z'
'-x+1/2,-y+1/2,-z'
'-x+1/2,y+1/2,-z+1/2'
'x+1/2,-y+1/2,z+1/2'
loop_
_atom_site_label
_atom_site_fract_x
_atom_site_fract_y
_atom_site_fract_z
Ba1 0.235 0.105 0.425
Ba2 0.235 0.206 0.850
Mn1 0.226 0.496 0.336
O1 0.000 0.008 0.750
O2 0.000 0.399 0.750
O3 0.171 0.325 0.370
O4 0.217 0.100 0.033
```

Largest 10 diffraction maxima, most intense first, 2θ from 10° to 90°:
(hkl)	2θ (°)	Rel. int.
2 0 0	29.54	100
0 0 4	27.86	79
1 3 2	31.03	53
1 3 -2	30.21	46
1 1 -3	25.96	44
1 3 1	28.30	43
0 2 5	38.36	35
0 4 1	31.33	31
1 1 -4	31.80	27
0 2 3	25.83	26

# Ba2Mn2O5
Theoretical powder diffractogram, CuKα. Input: a structure optimized by DFT (PBE+U).
No peak broadening, texture or thermal motion is included.

Structural model:
```
data_Ba2Mn2O5
_cell_length_a 16.622
_cell_length_b 5.809
_cell_length_c 5.817
_cell_angle_alpha 90.00
_cell_angle_beta 90.00
_cell_angle_gamma 90.00
_space_group_name_H-M_alt 'I m a 2'
_space_group_IT_number 46
loop_
_space_group_symop_operation_xyz
'x,y,z'
'-x,-y,z'
'-x+1/2,y,z'
'x+1/2,-y,z'
'x+1/2,y+1/2,z+1/2'
'-x+1/2,-y+1/2,z+1/2'
'-x,y+1/2,z+1/2'
'x,-y+1/2,z+1/2'
loop_
_atom_site_label
_atom_site_fract_x
_atom_site_fract_y
_atom_site_fract_z
Ba1 0.114 0.001 0.000
Mn1 0.000 0.000 0.500
Mn2 0.250 0.049 0.511
O1 0.004 0.248 0.752
O2 0.141 0.538 0.991
O3 0.250 0.194 0.800
```

Largest 10 diffraction maxima, most intense first, 2θ from 10° to 90°:
(hkl)	2θ (°)	Rel. int.
4 1 1	30.59	100
0 0 2	30.76	57
4 1 3	54.59	38
0 2 2	44.06	31
4 2 0	37.77	25
8 0 2	54.27	16
0 1 1	21.62	15
8 2 2	63.69	15
8 0 0	43.56	14
0 2 4	72.69	12

# BaMn2O8
Theoretical powder diffractogram, CuKα. Input: a structure optimized by DFT (PBE+U).
No peak broadening, texture or thermal motion is included.

Structural model:
```
data_BaMn2O8
_cell_length_a 7.486
_cell_length_b 12.173
_cell_length_c 15.139
_cell_angle_alpha 90.00
_cell_angle_beta 90.00
_cell_angle_gamma 90.00
_space_group_name_H-M_alt 'F d d d'
_space_group_IT_number 70
loop_
_space_group_symop_operation_xyz
'x,y,z'
'-x,-y,-z'
'-x+1/4,-y+1/4,z'
'x+1/4,y+1/4,-z'
'x,-y+1/4,-z+1/4'
'-x,y+1/4,z+1/4'
'-x+1/4,y,-z+1/4'
'x+1/4,-y,z+1/4'
'x,y+1/2,z+1/2'
'-x,-y+1/2,-z+1/2'
'-x+1/4,-y+3/4,z+1/2'
'x+1/4,y+3/4,-z+1/2'
'x,-y+3/4,-z+3/4'
'-x,y+3/4,z+3/4'
'-x+1/4,y+1/2,-z+3/4'
'x+1/4,-y+1/2,z+3/4'
'x+1/2,y,z+1/2'
'-x+1/2,-y,-z+1/2'
'-x+3/4,-y+1/4,z+1/2'
'x+3/4,y+1/4,-z+1/2'
'x+1/2,-y+1/4,-z+3/4'
'-x+1/2,y+1/4,z+3/4'
'-x+3/4,y,-z+3/4'
'x+3/4,-y,z+3/4'
'x+1/2,y+1/2,z'
'-x+1/2,-y+1/2,-z'
'-x+3/4,-y+3/4,z'
'x+3/4,y+3/4,-z'
'x+1/2,-y+3/4,-z+1/4'
'-x+1/2,y+3/4,z+1/4'
'-x+3/4,y+1/2,-z+1/4'
'x+3/4,-y+1/2,z+1/4'
loop_
_atom_site_label
_atom_site_fract_x
_atom_site_fract_y
_atom_site_fract_z
Ba1 0.125 0.125 0.125
Mn1 0.125 0.323 0.625
O1 0.043 0.253 0.850
O2 0.075 0.348 0.208
```

Largest 10 diffraction maxima, most intense first, 2θ from 10° to 90°:
(hkl)	2θ (°)	Rel. int.
1 3 1	25.66	100
2 0 2	26.57	92
0 0 4	23.51	79
1 3 5	39.02	53
2 4 2	40.00	49
1 3 3	30.69	48
1 1 1	15.08	42
3 3 3	46.35	26
3 1 3	41.03	18
1 3 7	49.27	15